The following is a simulated XRD peak list of Nb3Cr. It was derived from a cell relaxed with PBE, using Cu Kα, 1.54184 Å.
Lines closer than 0.1° are merged.

Structural model:
a b c (Å): 4.5522 4.5522 4.5522
angles (deg): 60.00 60.00 60.00
Element x y z (fractional)
Nb 0.0000 0.0000 0.0000
Nb 0.2500 0.2500 0.2500
Nb 0.7500 0.7500 0.7500
Cr 0.5000 0.5000 0.5000

Peak list (11 most intense, 10 to 90 degrees two-theta, in order of rising 2θ)
two_theta	d/Å	I/Imax
23.94	3.717	4
27.71	3.219	2
39.60	2.276	100
46.80	1.941	2
49.02	1.858	1
57.24	1.609	16
62.93	1.477	1
64.76	1.440	1
71.84	1.314	32
76.96	1.239	1
85.28	1.138	10

=====

The following is a simulated XRD peak list of Nb6Cr7. It was derived from a cell relaxed with PBE, using Cu Kα, 1.54184 Å.
Lines closer than 0.1° are merged.

Structural model:
a b c (Å): 9.6717 9.6717 9.6717
angles (deg): 29.45 29.45 29.45
Element x y z (fractional)
Nb 0.0474 0.0474 0.0474
Nb 0.1494 0.1494 0.1494
Nb 0.3326 0.3326 0.3326
Nb 0.6674 0.6674 0.6674
Nb 0.8506 0.8506 0.8506
Nb 0.9526 0.9526 0.9526
Cr 0.0901 0.5949 0.5949
Cr 0.4051 0.4051 0.9099
Cr 0.4051 0.9099 0.4051
Cr 0.5000 0.5000 0.5000
Cr 0.5949 0.0901 0.5949
Cr 0.5949 0.5949 0.0901
Cr 0.9099 0.4051 0.4051

Peak list (12 most intense, 10 to 90 degrees two-theta, in order of rising 2θ)
two_theta	d/Å	I/Imax
36.55	2.458	53
38.74	2.324	44
38.97	2.311	7
41.62	2.170	100
42.59	2.123	22
44.52	2.035	13
45.64	1.988	21
47.30	1.922	7
65.79	1.419	9
67.26	1.392	16
69.25	1.357	29
77.68	1.229	17

=====

The following is a simulated XRD peak list of Nb4Cr. It was derived from a cell relaxed with PBE, using Cu Kα, 1.54184 Å.
Lines closer than 0.1° are merged.

Structural model:
a b c (Å): 6.5312 6.5312 6.5312
angles (deg): 60.00 60.00 60.00
Element x y z (fractional)
Nb 0.1938 0.7687 0.7687
Nb 0.2313 0.2313 0.2313
Nb 0.2313 0.2313 0.8062
Nb 0.2313 0.8062 0.2313
Nb 0.7687 0.1938 0.7687
Nb 0.7687 0.7687 0.1938
Nb 0.7687 0.7687 0.7687
Nb 0.8062 0.2313 0.2313
Cr 0.3750 0.3750 0.3750
Cr 0.6250 0.6250 0.6250

Peak list (12 most intense, 10 to 90 degrees two-theta, in order of rising 2θ)
two_theta	d/Å	I/Imax
27.31	3.266	12
33.61	2.666	100
39.01	2.309	33
42.67	2.119	24
51.40	1.778	28
56.35	1.633	34
67.23	1.392	23
70.66	1.333	4
73.18	1.293	11
77.30	1.234	4
79.75	1.202	9
86.19	1.128	10

=====

The following is a simulated XRD peak list of Nb3Cr. It was derived from a cell relaxed with PBE, using Cu Kα, 1.54184 Å.
Lines closer than 0.1° are merged.

Structural model:
a b c (Å): 4.1364 4.1364 4.1364
angles (deg): 90.00 90.00 90.00
Element x y z (fractional)
Nb 0.0000 0.0000 0.5000
Nb 0.0000 0.5000 0.0000
Nb 0.5000 0.0000 0.0000
Cr 0.5000 0.5000 0.5000

Peak list (12 most intense, 10 to 90 degrees two-theta, in order of rising 2θ)
two_theta	d/Å	I/Imax
21.48	4.136	5
30.56	2.925	4
37.67	2.388	100
43.77	2.068	48
49.26	1.850	2
54.33	1.689	2
63.63	1.462	30
67.99	1.379	1
72.22	1.308	1
76.36	1.247	35
80.42	1.194	10
88.43	1.105	1

=====

The following is a simulated XRD peak list of NbCrNi. It was derived from a cell relaxed with PBE, using Cu Kα, 1.54184 Å.
Lines closer than 0.1° are merged.

Structural model:
a b c (Å): 7.8846 4.9162 4.9162
angles (deg): 58.36 90.00 90.00
Element x y z (fractional)
Nb 0.1888 0.0000 0.0000
Nb 0.3105 0.6736 0.6736
Nb 0.6895 0.6736 0.6736
Nb 0.8112 0.0000 0.0000
Cr 0.0000 0.0044 0.5027
Cr 0.0000 0.5027 0.0044
Cr 0.2487 0.3360 0.3360
Cr 0.7513 0.3360 0.3360
Ni 0.0000 0.5111 0.5111
Ni 0.5000 0.1678 0.1678
Ni 0.5000 0.1676 0.6726
Ni 0.5000 0.6726 0.1676

Peak list (12 most intense, 10 to 90 degrees two-theta, in order of rising 2θ)
two_theta	d/Å	I/Imax
36.57	2.457	40
37.52	2.397	21
40.24	2.241	39
40.53	2.226	80
43.40	2.085	100
43.71	2.071	37
44.22	2.048	43
44.81	2.023	67
46.05	1.971	19
71.78	1.315	26
75.49	1.259	27
77.73	1.229	24

=====

The following is a simulated XRD peak list of Nb2CrOs. It was derived from a cell relaxed with PBE, using Cu Kα, 1.54184 Å.
Lines closer than 0.1° are merged.

Structural model:
a b c (Å): 4.4607 4.4607 4.4607
angles (deg): 60.00 60.00 60.00
Element x y z (fractional)
Nb 0.2500 0.2500 0.2500
Nb 0.7500 0.7500 0.7500
Cr 0.0000 0.0000 0.0000
Os 0.5000 0.5000 0.5000

Peak list (10 most intense, 10 to 90 degrees two-theta, in order of rising 2θ)
two_theta	d/Å	I/Imax
24.44	3.642	23
28.29	3.154	2
40.44	2.230	100
47.82	1.902	12
58.53	1.577	17
64.37	1.447	5
66.26	1.411	1
73.55	1.288	33
78.84	1.214	4
87.47	1.115	11

=====

The following is a simulated XRD peak list of Nb2CrRu. It was derived from a cell relaxed with PBE, using Cu Kα, 1.54184 Å.
Lines closer than 0.1° are merged.

Structural model:
a b c (Å): 4.4498 4.4498 4.4498
angles (deg): 60.00 60.00 60.00
Element x y z (fractional)
Nb 0.2500 0.2500 0.2500
Nb 0.7500 0.7500 0.7500
Cr 0.0000 0.0000 0.0000
Ru 0.5000 0.5000 0.5000

Peak list (10 most intense, 10 to 90 degrees two-theta, in order of rising 2θ)
two_theta	d/Å	I/Imax
24.50	3.633	5
28.36	3.146	1
40.55	2.225	100
47.95	1.897	3
58.68	1.573	16
64.55	1.444	1
66.44	1.407	1
73.76	1.285	32
79.07	1.211	1
87.73	1.112	10

=====

The following is a simulated XRD peak list of NbCrSe5. It was derived from a cell relaxed with PBE, using Cu Kα, 1.54184 Å.
Lines closer than 0.1° are merged.

Structural model:
a b c (Å): 9.5029 3.5500 10.5109
angles (deg): 90.00 116.16 90.00
Element x y z (fractional)
Nb 0.2277 0.2500 0.1364
Nb 0.7723 0.7500 0.8636
Cr 0.0692 0.7500 0.3955
Cr 0.9308 0.2500 0.6045
Se 0.0174 0.7500 0.1347
Se 0.1358 0.7500 0.6508
Se 0.2662 0.2500 0.4117
Se 0.3302 0.7500 0.0044
Se 0.4610 0.7500 0.2577
Se 0.5390 0.2500 0.7423
Se 0.6698 0.2500 0.9956
Se 0.7338 0.7500 0.5883
Se 0.8642 0.2500 0.3492
Se 0.9826 0.2500 0.8653

Peak list (12 most intense, 10 to 90 degrees two-theta, in order of rising 2θ)
two_theta	d/Å	I/Imax
10.37	8.530	18
10.48	8.444	17
16.81	5.275	25
31.46	2.844	100
34.71	2.585	34
40.66	2.219	28
43.10	2.099	30
43.30	2.090	13
49.95	1.826	12
51.48	1.775	19
51.67	1.769	12
63.59	1.463	11

=====

The following is a simulated XRD peak list of Nb3CrSe6. It was derived from a cell relaxed with PBE, using Cu Kα, 1.54184 Å.
Lines closer than 0.1° are merged.

Structural model:
a b c (Å): 6.0536 6.0536 12.7212
angles (deg): 90.00 90.00 120.00
Element x y z (fractional)
Nb 0.0000 0.0000 0.0000
Nb 0.0000 0.0000 0.5000
Nb 0.3333 0.6667 0.0006
Nb 0.3333 0.6667 0.4994
Nb 0.6667 0.3333 0.5006
Nb 0.6667 0.3333 0.9994
Cr 0.3333 0.6667 0.2500
Cr 0.6667 0.3333 0.7500
Se 0.0058 0.3338 0.8678
Se 0.0058 0.6720 0.6322
Se 0.3280 0.3338 0.6322
Se 0.3280 0.9942 0.8678
Se 0.3338 0.0058 0.1322
Se 0.3338 0.3280 0.3678
Se 0.6662 0.6720 0.8678
Se 0.6662 0.9942 0.6322
Se 0.6720 0.0058 0.3678
Se 0.6720 0.6662 0.1322
Se 0.9942 0.3280 0.1322
Se 0.9942 0.6662 0.3678

Peak list (12 most intense, 10 to 90 degrees two-theta, in order of rising 2θ)
two_theta	d/Å	I/Imax
13.92	6.361	28
30.35	2.945	55
32.77	2.733	37
36.47	2.464	46
41.17	2.193	100
46.64	1.948	10
52.35	1.748	49
58.00	1.590	11
59.31	1.558	14
68.68	1.367	21
69.74	1.349	8
81.91	1.176	24